Simulated XRD peak list
Compound: BaAs2Pd5
Radiation: Cu Kα (weighted mean of Kα1 and Kα2)
Structure: DFT lattice parameters and positions (PBE)

Structural model:
Unit cell a=4.220 b=7.245 c=10.057 alpha=90.00 beta=90.00 gamma=90.00
Sites, in units of the cell vectors:
1 Ba 0.000 0.000 0.000
2 Ba 0.500 0.500 0.500
3 As 0.000 0.500 0.240
4 As 0.000 0.500 0.760
5 As 0.500 0.000 0.260
6 As 0.500 0.000 0.740
7 Pd 0.000 0.190 0.343
8 Pd 0.000 0.190 0.657
9 Pd 0.000 0.500 0.000
10 Pd 0.000 0.810 0.343
11 Pd 0.000 0.810 0.657
12 Pd 0.500 0.000 0.500
13 Pd 0.500 0.310 0.157
14 Pd 0.500 0.310 0.843
15 Pd 0.500 0.690 0.157
16 Pd 0.500 0.690 0.843

Most intense lines, 10° ≤ 2θ ≤ 80°, low angle first:
| 2theta | Rel. int. |
| --- | --- |
| 33.8 | 91.1 |
| 34.2 | 100.0 |
| 42.9 | 44.5 |
| 43.2 | 35.0 |
| 43.8 | 59.3 |
| 63.0 | 30.4 |

***

Simulated XRD peak list
Compound: Zn
Radiation: Cu Kα (weighted mean of Kα1 and Kα2)
Structure: DFT lattice parameters and positions (PBE)

Structural model:
Unit cell a=2.714 b=4.687 c=4.531 alpha=90.00 beta=90.00 gamma=90.00
Sites, in units of the cell vectors:
1 Zn 0.000 0.167 0.250
2 Zn 0.000 0.833 0.750
3 Zn 0.500 0.333 0.750
4 Zn 0.500 0.667 0.250

Most intense lines, 10° ≤ 2θ ≤ 80°, low angle first:
| 2theta | Rel. int. |
| --- | --- |
| 38.4 | 23.9 |
| 39.8 | 28.7 |
| 43.4 | 100.0 |
| 56.5 | 14.7 |
| 69.4 | 10.1 |
| 74.7 | 18.1 |

***

Simulated XRD peak list
Compound: BaPdSeO
Radiation: Cu Kα (weighted mean of Kα1 and Kα2)
Structure: DFT lattice parameters and positions (PBE)

Structural model:
Unit cell a=6.514 b=7.050 c=14.706 alpha=90.00 beta=90.00 gamma=90.00
Sites, in units of the cell vectors:
1 Ba 0.248 0.049 0.191
2 Ba 0.248 0.451 0.691
3 Ba 0.252 0.549 0.191
4 Ba 0.252 0.951 0.691
5 Ba 0.748 0.049 0.309
6 Ba 0.748 0.451 0.809
7 Ba 0.752 0.549 0.309
8 Ba 0.752 0.951 0.809
9 Pd 0.003 0.729 0.501
10 Pd 0.003 0.771 0.001
11 Pd 0.497 0.229 0.501
12 Pd 0.497 0.271 0.001
13 Pd 0.503 0.729 0.999
14 Pd 0.503 0.771 0.499
15 Pd 0.997 0.229 0.999
16 Pd 0.997 0.271 0.499
17 Se 0.222 0.502 0.937
18 Se 0.222 0.998 0.437
19 Se 0.278 0.002 0.937
20 Se 0.278 0.498 0.437
21 Se 0.722 0.502 0.563
22 Se 0.722 0.998 0.063
23 Se 0.778 0.002 0.563
24 Se 0.778 0.498 0.063
25 O 0.044 0.198 0.779
26 O 0.044 0.302 0.279
27 O 0.456 0.698 0.779
28 O 0.456 0.802 0.279
29 O 0.544 0.198 0.721
30 O 0.544 0.302 0.221
31 O 0.956 0.698 0.721
32 O 0.956 0.802 0.221

Most intense lines, 10° ≤ 2θ ≤ 80°, low angle first:
| 2theta | Rel. int. |
| --- | --- |
| 27.9 | 100.0 |
| 28.1 | 30.5 |
| 30.0 | 37.6 |
| 37.6 | 92.9 |
| 38.0 | 71.8 |
| 56.5 | 41.6 |

***

Simulated XRD peak list
Compound: Zn5P6H18O30
Radiation: Cu Kα (weighted mean of Kα1 and Kα2)
Structure: DFT lattice parameters and positions (PBE)

Structural model:
Unit cell a=7.967 b=9.534 c=9.817 alpha=112.55 beta=113.81 gamma=95.03
Sites, in units of the cell vectors:
1 Zn 0.000 0.000 0.000
2 Zn 0.055 0.668 0.231
3 Zn 0.438 0.318 0.565
4 Zn 0.562 0.682 0.435
5 Zn 0.945 0.332 0.769
6 P 0.122 0.025 0.373
7 P 0.239 0.571 0.494
8 P 0.330 0.574 0.084
9 P 0.670 0.426 0.916
10 P 0.761 0.429 0.506
11 P 0.878 0.975 0.627
12 H 0.052 0.866 0.528
13 H 0.127 0.552 0.663
14 H 0.186 0.874 0.836
15 H 0.207 0.277 0.050
16 H 0.235 0.283 0.221
17 H 0.309 0.915 0.032
18 H 0.412 0.572 0.893
19 H 0.461 0.065 0.735
20 H 0.469 0.898 0.720
21 H 0.531 0.102 0.280
22 H 0.539 0.935 0.265
23 H 0.588 0.428 0.107
24 H 0.691 0.085 0.968
25 H 0.765 0.717 0.779
26 H 0.793 0.723 0.950
27 H 0.814 0.126 0.164
28 H 0.873 0.448 0.337
29 H 0.948 0.134 0.472
30 O 0.020 0.870 0.620
31 O 0.040 0.871 0.370
32 O 0.041 0.550 0.352
33 O 0.144 0.999 0.218
34 O 0.175 0.874 0.932
35 O 0.181 0.411 0.973
36 O 0.220 0.212 0.110
37 O 0.234 0.620 0.663
38 O 0.270 0.700 0.193
39 O 0.285 0.412 0.432
40 O 0.321 0.111 0.529
41 O 0.378 0.644 0.980
42 O 0.386 0.712 0.528
43 O 0.483 0.006 0.800
44 O 0.488 0.450 0.795
45 O 0.512 0.550 0.205
46 O 0.517 0.994 0.200
47 O 0.614 0.288 0.472
48 O 0.622 0.356 0.020
49 O 0.679 0.889 0.471
50 O 0.715 0.588 0.568
51 O 0.730 0.300 0.807
52 O 0.766 0.380 0.337
53 O 0.780 0.788 0.890
54 O 0.819 0.589 0.027
55 O 0.825 0.126 0.068
56 O 0.856 0.001 0.782
57 O 0.959 0.450 0.648
58 O 0.960 0.129 0.630
59 O 0.980 0.130 0.380

Most intense lines, 10° ≤ 2θ ≤ 80°, low angle first:
| 2theta | Rel. int. |
| --- | --- |
| 12.3 | 100.0 |
| 18.7 | 57.5 |
| 18.7 | 73.1 |
| 23.9 | 60.2 |
| 28.2 | 41.8 |
| 32.5 | 55.2 |

***

Simulated XRD peak list
Compound: LuNb2O4
Radiation: Cu Kα (weighted mean of Kα1 and Kα2)
Structure: DFT lattice parameters and positions (PBE)

Structural model:
Unit cell a=6.367 b=6.367 c=6.367 alpha=60.00 beta=60.00 gamma=60.00
Sites, in units of the cell vectors:
1 Lu 0.125 0.125 0.125
2 Lu 0.875 0.875 0.875
3 Nb 0.000 0.500 0.500
4 Nb 0.500 0.000 0.500
5 Nb 0.500 0.500 0.000
6 Nb 0.500 0.500 0.500
7 O 0.255 0.255 0.255
8 O 0.255 0.255 0.735
9 O 0.255 0.735 0.255
10 O 0.265 0.745 0.745
11 O 0.735 0.255 0.255
12 O 0.745 0.265 0.745
13 O 0.745 0.745 0.265
14 O 0.745 0.745 0.745

Most intense lines, 10° ≤ 2θ ≤ 80°, low angle first:
| 2theta | Rel. int. |
| --- | --- |
| 28.0 | 48.5 |
| 33.0 | 100.0 |
| 49.6 | 20.4 |
| 52.8 | 36.1 |
| 57.9 | 36.5 |
| 68.3 | 12.0 |

***

Simulated XRD peak list
Compound: Cu7Ag3
Radiation: Cu Kα (weighted mean of Kα1 and Kα2)
Structure: DFT lattice parameters and positions (PBE)

Structural model:
Unit cell a=2.795 b=3.328 c=14.721 alpha=90.00 beta=90.00 gamma=90.00
Sites, in units of the cell vectors:
1 Cu 0.000 0.000 0.000
2 Cu 0.000 0.000 0.176
3 Cu 0.000 0.000 0.824
4 Cu 0.500 0.500 0.088
5 Cu 0.500 0.500 0.262
6 Cu 0.500 0.500 0.738
7 Cu 0.500 0.500 0.912
8 Ag 0.000 0.000 0.371
9 Ag 0.000 0.000 0.629
10 Ag 0.500 0.500 0.500

Most intense lines, 10° ≤ 2θ ≤ 80°, low angle first:
| 2theta | Rel. int. |
| --- | --- |
| 36.4 | 28.5 |
| 40.5 | 20.9 |
| 40.9 | 59.0 |
| 42.2 | 100.0 |
| 44.7 | 45.3 |
| 55.2 | 21.6 |